This entry pairs a crystal structure of CsCdCl3 with its simulated X-ray diffraction stick pattern. Radiation: Cu Kα (λ = 1.5418 Å). Structure: a DFT-relaxed cell (PBE, OQMD).

The 10 most intense peaks (2θ = 15–90°), most intense first:
d (Å)  2theta  Rel. int.  h k l
3.730  23.85  100  1 1 0
2.655  33.77  63  2 0 4
3.779  23.54  59  1 0 4
2.866  31.21  40  2 0 3
1.865  48.83  39  2 2 0
2.163  41.76  27  2 1 4
2.441  36.82  24  2 0 5
2.154  41.95  23  3 0 0
3.228  27.63  21  1 0 5
1.889  48.16  17  2 0 8

Structural model:
```
CsCdCl3
1.0
7.4604 0.0000 0.0000
-3.7302 6.4609 0.0000
0.0000 0.0000 18.6330
Cs Cd Cl
6 6 18
Direct
0.0000 0.0000 0.2500
0.0000 0.0000 0.7500
0.3333 0.6667 0.0863
0.3333 0.6667 0.4137
0.6667 0.3333 0.5863
0.6667 0.3333 0.9137
0.0000 0.0000 0.0000
0.0000 0.0000 0.5000
0.3333 0.6667 0.6613
0.3333 0.6667 0.8387
0.6667 0.3333 0.1613
0.6667 0.3333 0.3387
0.0088 0.5044 0.7500
0.1661 0.3323 0.5815
0.1661 0.3323 0.9185
0.1661 0.8339 0.5815
0.1661 0.8339 0.9185
0.3323 0.1661 0.0815
0.3323 0.1661 0.4185
0.4956 0.5044 0.7500
0.4956 0.9912 0.7500
0.5044 0.0088 0.2500
0.5044 0.4956 0.2500
0.6677 0.8339 0.5815
0.6677 0.8339 0.9185
0.8339 0.1661 0.0815
0.8339 0.1661 0.4185
0.8339 0.6677 0.0815
0.8339 0.6677 0.4185
0.9912 0.4956 0.2500
```